Structure and theoretical XRD peak list of CaMnNi (DFT lattice parameters and positions (GGA-PBE); a wavelength of 1.5418 Å).
Lines closer than 0.1° are merged.

Structure:
Cell: 4.021 4.021 7.378 Å, 90.00 90.00 90.00°
Element x y z (fractional)
Ca1 0.250 0.250 0.163
Ca2 0.750 0.750 0.837
Mn1 0.250 0.750 0.500
Mn2 0.750 0.250 0.500
Ni1 0.250 0.250 0.695
Ni2 0.750 0.750 0.305

The 8 most intense peaks (5 to 70 degrees two-theta), in order of rising 2θ:
| 2θ/deg | I (rel.) |
| --- | --- |
| 12.00 | 100 |
| 32.95 | 69 |
| 33.78 | 32 |
| 40.04 | 100 |
| 45.09 | 58 |
| 54.75 | 23 |
| 56.97 | 25 |
| 65.67 | 17 |